Calculated XRD peak list of CeSi2Ir2 for copper Kα, from a structure optimized by DFT (PBE).

Structure:
Unit cell a=4.163 b=4.163 c=9.931 alpha=90.00 beta=90.00 gamma=90.00
Fractional positions:
Ce 0.250 0.250 0.244
Ce 0.750 0.750 0.756
Si 0.250 0.250 0.630
Si 0.250 0.750 0.000
Si 0.750 0.250 0.000
Si 0.750 0.750 0.370
Ir 0.250 0.250 0.873
Ir 0.250 0.750 0.500
Ir 0.750 0.250 0.500
Ir 0.750 0.750 0.127

Top 8 peaks for 10 to 90 degrees two-theta, in order of falling intensity:
2θ/deg, intensity, h k l
35.45, 100, 1 1 2
31.70, 78, 1 1 1
43.47, 71, 2 0 0
34.62, 65, 1 0 3
26.93, 33, 0 0 3
56.72, 32, 2 1 3
27.97, 31, 1 0 2
47.93, 29, 1 1 4